# 1
Structure and theoretical PXRD pattern of CeCu6Au6 (a structure optimized by DFT (GGA-PBE); copper Kα).
Neutral-atom scattering factors, no anomalous dispersion.

Atomic structure:
```
data_CeCu6Au6
_chemical_formula_sum 'Ce2 Cu12 Au12'
_symmetry_space_group_name_H-M 'I m m m'
_symmetry_Int_Tables_number 71
_symmetry_space_group_name_Hall '-I 2 2'
_cell_length_a 5.211
_cell_length_b 9.014
_cell_length_c 9.047
_cell_angle_alpha 90.00
_cell_angle_beta 90.00
_cell_angle_gamma 90.00
loop_
_atom_site_label
_atom_site_type_symbol
_atom_site_fract_x
_atom_site_fract_y
_atom_site_fract_z
_atom_site_occupancy
Ce1 Ce 0.000 0.000 0.000 1
Cu1 Cu 0.000 0.500 0.265 1
Cu2 Cu 0.250 0.250 0.250 1
Au1 Au 0.000 0.000 0.338 1
Au2 Au 0.000 0.309 0.500 1
Au3 Au 0.000 0.343 0.000 1
```

Top 10 peaks for 2θ = 5–70°, in order of falling intensity:
2θ 34.43, rel. 100, hkl 2 0 0
2θ 39.91, rel. 69, hkl 0 0 4
2θ 44.87, rel. 57, hkl 2 2 2
2θ 39.97, rel. 55, hkl 1 3 2
2θ 65.40, rel. 20, hkl 3 3 2
2θ 27.94, rel. 19, hkl 0 2 2
2θ 44.94, rel. 16, hkl 0 4 2
2θ 68.99, rel. 14, hkl 1 5 4
2θ 61.67, rel. 13, hkl 3 3 0
2θ 53.68, rel. 11, hkl 2 0 4

***

# 2
Structure and theoretical PXRD pattern of Ag2AuS6 (a structure optimized by DFT (GGA-PBE); copper Kα).
Neutral-atom scattering factors, no anomalous dispersion.

Atomic structure:
```
data_Ag2AuS6
_chemical_formula_sum 'Ag2 Au1 S6'
_symmetry_space_group_name_H-M 'P -1'
_symmetry_Int_Tables_number 2
_cell_length_a 4.377
_cell_length_b 6.623
_cell_length_c 8.326
_cell_angle_alpha 103.04
_cell_angle_beta 95.26
_cell_angle_gamma 108.73
loop_
_symmetry_equiv_pos_as_xyz
'x,y,z'
'-x,-y,-z'
loop_
_atom_site_label
_atom_site_type_symbol
_atom_site_fract_x
_atom_site_fract_y
_atom_site_fract_z
_atom_site_occupancy
Ag1 Ag 0.186 0.331 0.093 1
Au1 Au 0.500 0.000 0.000 1
S1 S 0.024 0.325 0.800 1
S2 S 0.291 0.237 0.351 1
S3 S 0.403 0.959 0.267 1
```

Top 10 peaks for 2θ = 5–70°, in order of falling intensity:
2θ 11.09, rel. 100, hkl 0 0 1
2θ 30.48, rel. 32, hkl 1 1 0
2θ 32.90, rel. 22, hkl 0 1 -3
2θ 29.98, rel. 21, hkl 1 -2 0
2θ 33.50, rel. 16, hkl -1 2 1
2θ 43.78, rel. 15, hkl 0 1 -4
2θ 29.58, rel. 12, hkl 1 1 -1
2θ 15.83, rel. 10, hkl 0 1 -1
2θ 26.24, rel. 9, hkl 1 0 1
2θ 49.65, rel. 8, hkl 0 3 1

***

# 3
Structure and theoretical PXRD pattern of SnTeMoH2 (a structure optimized by DFT (GGA-PBE); copper Kα).
Neutral-atom scattering factors, no anomalous dispersion.

Atomic structure:
```
data_SnTeMoH2
_chemical_formula_sum 'Sn1 Te1 Mo1 H2'
_symmetry_space_group_name_H-M 'P 4/m m m'
_symmetry_Int_Tables_number 123
_symmetry_space_group_name_Hall '-P 4 2'
_cell_length_a 3.892
_cell_length_b 3.892
_cell_length_c 5.886
_cell_angle_alpha 90.00
_cell_angle_beta 90.00
_cell_angle_gamma 90.00
loop_
_atom_site_label
_atom_site_type_symbol
_atom_site_fract_x
_atom_site_fract_y
_atom_site_fract_z
_atom_site_occupancy
Sn1 Sn 0.000 0.000 0.000 1
Te1 Te 0.500 0.500 0.500 1
Mo1 Mo 0.000 0.000 0.500 1
H1 H 0.000 0.500 0.000 1
```

Top 10 peaks for 2θ = 5–70°, in order of falling intensity:
2θ 32.53, rel. 100, hkl 1 1 0
2θ 45.10, rel. 81, hkl 1 1 2
2θ 30.37, rel. 62, hkl 0 0 2
2θ 27.47, rel. 57, hkl 1 0 1
2θ 56.70, rel. 42, hkl 2 0 2
2θ 46.67, rel. 38, hkl 2 0 0
2θ 15.05, rel. 28, hkl 0 0 1
2θ 22.85, rel. 19, hkl 1 0 0
2θ 55.01, rel. 18, hkl 2 1 1
2θ 68.13, rel. 14, hkl 2 2 0

***

# 4
Structure and theoretical PXRD pattern of TmBiTe3 (a structure optimized by DFT (GGA-PBE); copper Kα).
Neutral-atom scattering factors, no anomalous dispersion.

Atomic structure:
```
data_TmBiTe3
_chemical_formula_sum 'Tm3 Bi3 Te9'
_symmetry_space_group_name_H-M 'R 3 m'
_symmetry_Int_Tables_number 160
_symmetry_space_group_name_Hall 'R 3 -2"'
_cell_length_a 4.3777
_cell_length_b 4.3777
_cell_length_c 31.9687
_cell_angle_alpha 90.00
_cell_angle_beta 90.00
_cell_angle_gamma 120.00
loop_
_atom_site_label
_atom_site_type_symbol
_atom_site_fract_x
_atom_site_fract_y
_atom_site_fract_z
_atom_site_occupancy
Tm1 Tm 0.0000 0.0000 0.0000 1
Bi1 Bi 0.0000 0.0000 0.2051 1
Te1 Te 0.0000 0.0000 0.3829 1
Te2 Te 0.0000 0.0000 0.6071 1
Te3 Te 0.0000 0.0000 0.8182 1
```

Top 10 peaks for 2θ = 5–70°, in order of falling intensity:
2θ 27.35, rel. 100, hkl 0 1 5
2θ 41.24, rel. 37, hkl 1 1 0
2θ 36.77, rel. 33, hkl 1 0 10
2θ 50.20, rel. 19, hkl 2 0 5
2θ 66.92, rel. 16, hkl 1 2 5
2θ 16.64, rel. 13, hkl 0 0 6
2θ 8.30, rel. 13, hkl 0 0 3
2θ 43.88, rel. 10, hkl 1 0 13
2θ 56.43, rel. 10, hkl 0 2 10
2θ 60.64, rel. 9, hkl 1 1 15

***

# 5
Structure and theoretical PXRD pattern of MnCo3 (a structure optimized by DFT (GGA-PBE); copper Kα).
Neutral-atom scattering factors, no anomalous dispersion.

Atomic structure:
```
data_MnCo3
_chemical_formula_sum 'Mn2 Co6'
_symmetry_space_group_name_H-M 'I m m m'
_symmetry_Int_Tables_number 71
_symmetry_space_group_name_Hall '-I 2 2'
_cell_length_a 2.822
_cell_length_b 4.044
_cell_length_c 8.111
_cell_angle_alpha 90.00
_cell_angle_beta 90.00
_cell_angle_gamma 90.00
loop_
_atom_site_label
_atom_site_type_symbol
_atom_site_fract_x
_atom_site_fract_y
_atom_site_fract_z
_atom_site_occupancy
Mn1 Mn 0.000 0.000 0.000 1
Co1 Co 0.000 0.000 0.500 1
Co2 Co 0.000 0.500 0.247 1
```

Top 5 peaks for 2θ = 5–70°, in order of falling intensity:
2θ 45.10, rel. 100, hkl 1 1 2
2θ 44.69, rel. 26, hkl 0 0 4
2θ 44.82, rel. 26, hkl 0 2 0
2θ 65.15, rel. 15, hkl 0 2 4
2θ 66.23, rel. 7, hkl 2 0 0

***

# 6
Structure and theoretical PXRD pattern of LiTl6In2 (a structure optimized by DFT (GGA-PBE); copper Kα).
Neutral-atom scattering factors, no anomalous dispersion.

Atomic structure:
```
data_LiTl6In2
_chemical_formula_sum 'Li2 Tl12 In4'
_symmetry_space_group_name_H-M 'C 1 2/m 1'
_symmetry_Int_Tables_number 12
_cell_length_a 15.913
_cell_length_b 3.401
_cell_length_c 11.224
_cell_angle_alpha 90.00
_cell_angle_beta 121.53
_cell_angle_gamma 90.00
loop_
_symmetry_equiv_pos_as_xyz
'x,y,z'
'-x,-y,-z'
'-x,y,-z'
'x,-y,z'
'x+1/2,y+1/2,z'
'-x+1/2,-y+1/2,-z'
'-x+1/2,y+1/2,-z'
'x+1/2,-y+1/2,z'
loop_
_atom_site_label
_atom_site_type_symbol
_atom_site_fract_x
_atom_site_fract_y
_atom_site_fract_z
_atom_site_occupancy
Li1 Li 0.000 0.000 0.000 1
Tl1 Tl 0.057 0.000 0.710 1
Tl2 Tl 0.173 0.500 0.562 1
Tl3 Tl 0.205 0.000 0.081 1
In1 In 0.111 0.500 0.247 1
```

Top 10 peaks for 2θ = 5–70°, in order of falling intensity:
2θ 31.26, rel. 100, hkl 3 1 -1
2θ 36.62, rel. 61, hkl 1 1 -3
2θ 27.89, rel. 51, hkl 2 0 2
2θ 32.62, rel. 51, hkl 4 0 -4
2θ 33.86, rel. 30, hkl 6 0 -2
2θ 47.56, rel. 20, hkl 5 1 1
2θ 53.75, rel. 17, hkl 7 1 -5
2θ 53.94, rel. 16, hkl 0 2 0
2θ 58.94, rel. 16, hkl 9 1 -3
2θ 64.46, rel. 15, hkl 4 2 -4

***

# 7
Structure and theoretical PXRD pattern of K4BaV2S8 (a structure optimized by DFT (GGA-PBE); copper Kα).
Neutral-atom scattering factors, no anomalous dispersion.

Atomic structure:
```
data_K4BaV2S8
_chemical_formula_sum 'K16 Ba4 V8 S32'
_symmetry_space_group_name_H-M 'I b a m'
_symmetry_Int_Tables_number 72
_symmetry_space_group_name_Hall '-I 2 2c'
_cell_length_a 9.090
_cell_length_b 18.652
_cell_length_c 10.040
_cell_angle_alpha 90.00
_cell_angle_beta 90.00
_cell_angle_gamma 90.00
loop_
_atom_site_label
_atom_site_type_symbol
_atom_site_fract_x
_atom_site_fract_y
_atom_site_fract_z
_atom_site_occupancy
K1 K 0.000 0.249 0.250 1
K2 K 0.127 0.422 0.000 1
Ba1 Ba 0.000 0.000 0.250 1
V1 V 0.208 0.133 0.000 1
S1 S 0.025 0.107 0.500 1
S2 S 0.193 0.412 0.324 1
S3 S 0.232 0.248 0.000 1
```

Top 10 peaks for 2θ = 5–70°, in order of falling intensity:
2θ 32.81, rel. 100, hkl 2 4 2
2θ 10.83, rel. 88, hkl 1 1 0
2θ 26.08, rel. 82, hkl 0 4 2
2θ 24.81, rel. 80, hkl 1 3 2
2θ 26.45, rel. 56, hkl 2 0 2
2θ 29.88, rel. 56, hkl 3 1 0
2θ 16.23, rel. 55, hkl 1 2 1
2θ 35.78, rel. 50, hkl 0 0 4
2θ 27.40, rel. 48, hkl 2 4 0
2θ 47.41, rel. 45, hkl 2 8 2

***

# 8
Structure and theoretical PXRD pattern of Pr3Zn8Ga3 (a structure optimized by DFT (GGA-PBE); copper Kα).
Neutral-atom scattering factors, no anomalous dispersion.

Atomic structure:
```
data_Pr3Zn8Ga3
_chemical_formula_sum 'Pr6 Zn16 Ga6'
_symmetry_space_group_name_H-M 'I m m m'
_symmetry_Int_Tables_number 71
_symmetry_space_group_name_Hall '-I 2 2'
_cell_length_a 4.405
_cell_length_b 9.687
_cell_length_c 12.883
_cell_angle_alpha 90.00
_cell_angle_beta 90.00
_cell_angle_gamma 90.00
loop_
_atom_site_label
_atom_site_type_symbol
_atom_site_fract_x
_atom_site_fract_y
_atom_site_fract_z
_atom_site_occupancy
Pr1 Pr 0.000 0.000 0.000 1
Pr2 Pr 0.000 0.000 0.313 1
Zn1 Zn 0.000 0.271 0.142 1
Zn2 Zn 0.000 0.369 0.336 1
Ga1 Ga 0.000 0.220 0.500 1
Ga2 Ga 0.000 0.500 0.000 1
```

Top 10 peaks for 2θ = 5–70°, in order of falling intensity:
2θ 34.55, rel. 100, hkl 1 2 3
2θ 40.98, rel. 33, hkl 2 0 0
2θ 34.44, rel. 26, hkl 1 3 0
2θ 42.08, rel. 21, hkl 0 0 6
2θ 34.76, rel. 20, hkl 0 3 3
2θ 29.04, rel. 15, hkl 1 0 3
2θ 60.19, rel. 14, hkl 2 0 6
2θ 65.27, rel. 13, hkl 1 6 3
2θ 37.24, rel. 13, hkl 1 3 2
2θ 54.79, rel. 11, hkl 2 3 3

***

# 9
Structure and theoretical PXRD pattern of Th2Tl5F12 (a structure optimized by DFT (GGA-PBE); copper Kα).
Neutral-atom scattering factors, no anomalous dispersion.

Atomic structure:
```
data_Th2Tl5F12
_chemical_formula_sum 'Th4 Tl10 F24'
_symmetry_space_group_name_H-M 'C 1 2/m 1'
_symmetry_Int_Tables_number 12
_cell_length_a 14.593
_cell_length_b 8.373
_cell_length_c 7.291
_cell_angle_alpha 90.00
_cell_angle_beta 92.15
_cell_angle_gamma 90.00
loop_
_symmetry_equiv_pos_as_xyz
'x,y,z'
'-x,-y,-z'
'-x,y,-z'
'x,-y,z'
'x+1/2,y+1/2,z'
'-x+1/2,-y+1/2,-z'
'-x+1/2,y+1/2,-z'
'x+1/2,-y+1/2,z'
loop_
_atom_site_label
_atom_site_type_symbol
_atom_site_fract_x
_atom_site_fract_y
_atom_site_fract_z
_atom_site_occupancy
Th1 Th 0.000 0.250 0.000 1
Tl1 Tl 0.000 0.000 0.500 1
Tl2 Tl 0.118 0.500 0.530 1
Tl3 Tl 0.243 0.000 0.864 1
F1 F 0.070 0.000 0.107 1
F2 F 0.070 0.500 0.900 1
F3 F 0.095 0.193 0.766 1
F4 F 0.108 0.307 0.221 1
```

Top 10 peaks for 2θ = 5–70°, in order of falling intensity:
2θ 27.22, rel. 100, hkl 2 2 -1
2θ 24.52, rel. 87, hkl 0 2 1
2θ 24.79, rel. 65, hkl 3 1 1
2θ 27.64, rel. 58, hkl 2 2 1
2θ 26.94, rel. 57, hkl 4 0 -1
2θ 43.05, rel. 50, hkl 0 2 3
2θ 12.14, rel. 50, hkl 2 0 0
2θ 24.43, rel. 46, hkl 0 0 2
2θ 21.17, rel. 41, hkl 0 2 0
2θ 27.77, rel. 37, hkl 4 0 1

***

# 10
Structure and theoretical PXRD pattern of InSn3Hg3 (a structure optimized by DFT (GGA-PBE); copper Kα).
Neutral-atom scattering factors, no anomalous dispersion.

Atomic structure:
```
data_InSn3Hg3
_chemical_formula_sum 'In6 Sn18 Hg18'
_symmetry_space_group_name_H-M 'R -3'
_symmetry_Int_Tables_number 148
_symmetry_space_group_name_Hall '-R 3'
_cell_length_a 12.2885
_cell_length_b 12.2885
_cell_length_c 9.0514
_cell_angle_alpha 90.00
_cell_angle_beta 90.00
_cell_angle_gamma 120.00
loop_
_atom_site_label
_atom_site_type_symbol
_atom_site_fract_x
_atom_site_fract_y
_atom_site_fract_z
_atom_site_occupancy
In1 In 0.0000 0.0000 0.1652 1
Sn1 Sn 0.0571 0.2084 0.3865 1
Hg1 Hg 0.0313 0.2582 0.9156 1
```

Top 10 peaks for 2θ = 5–70°, in order of falling intensity:
2θ 29.72, rel. 100, hkl 3 -2 2
2θ 38.78, rel. 38, hkl 1 4 0
2θ 31.89, rel. 28, hkl 1 3 1
2θ 46.02, rel. 20, hkl 2 1 4
2θ 49.58, rel. 19, hkl 4 2 2
2θ 33.08, rel. 16, hkl 2 -1 3
2θ 62.61, rel. 13, hkl 7 -5 3
2θ 35.16, rel. 13, hkl 4 0 1
2θ 38.18, rel. 12, hkl 3 2 1
2θ 60.56, rel. 8, hkl 0 6 3

***

# 11
Structure and theoretical PXRD pattern of Ba2TeI2F (a structure optimized by DFT (GGA-PBE); copper Kα).
Neutral-atom scattering factors, no anomalous dispersion.

Atomic structure:
```
data_Ba2TeI2F
_chemical_formula_sum 'Ba8 Te4 I8 F4'
_symmetry_space_group_name_H-M 'I b a m'
_symmetry_Int_Tables_number 72
_symmetry_space_group_name_Hall '-I 2 2c'
_cell_length_a 8.885
_cell_length_b 16.235
_cell_length_c 6.370
_cell_angle_alpha 90.00
_cell_angle_beta 90.00
_cell_angle_gamma 90.00
loop_
_atom_site_label
_atom_site_type_symbol
_atom_site_fract_x
_atom_site_fract_y
_atom_site_fract_z
_atom_site_occupancy
Ba1 Ba 0.181 0.098 0.000 1
Te1 Te 0.000 0.500 0.250 1
I1 I 0.174 0.188 0.500 1
F1 F 0.000 0.000 0.250 1
```

Top 10 peaks for 2θ = 5–70°, in order of falling intensity:
2θ 27.95, rel. 100, hkl 1 4 1
2θ 19.20, rel. 41, hkl 1 3 0
2θ 29.55, rel. 38, hkl 2 3 1
2θ 30.69, rel. 37, hkl 3 1 0
2θ 46.42, rel. 36, hkl 2 7 1
2θ 34.65, rel. 34, hkl 2 0 2
2θ 30.31, rel. 26, hkl 1 1 2
2θ 45.03, rel. 25, hkl 3 3 2
2θ 37.51, rel. 21, hkl 1 6 1
2θ 29.82, rel. 18, hkl 2 4 0

***

# 12
Structure and theoretical PXRD pattern of ReW (a structure optimized by DFT (GGA-PBE); copper Kα).
Neutral-atom scattering factors, no anomalous dispersion.

Atomic structure:
```
data_ReW
_chemical_formula_sum 'Re2 W2'
_symmetry_space_group_name_H-M 'P 1 21/m 1'
_symmetry_Int_Tables_number 11
_cell_length_a 2.735
_cell_length_b 4.443
_cell_length_c 5.231
_cell_angle_alpha 90.00
_cell_angle_beta 100.73
_cell_angle_gamma 90.00
loop_
_symmetry_equiv_pos_as_xyz
'x,y,z'
'-x,-y,-z'
'-x,y+1/2,-z'
'x,-y+1/2,z'
loop_
_atom_site_label
_atom_site_type_symbol
_atom_site_fract_x
_atom_site_fract_y
_atom_site_fract_z
_atom_site_occupancy
Re1 Re 0.150 0.250 0.371 1
W1 W 0.385 0.750 0.129 1
```

Top 5 peaks for 2θ = 5–70°, in order of falling intensity:
2θ 40.57, rel. 100, hkl 0 2 0
2θ 40.33, rel. 67, hkl 1 1 -1
2θ 40.68, rel. 33, hkl 1 0 1
2θ 58.83, rel. 22, hkl 1 2 1
2θ 58.22, rel. 11, hkl 1 0 -3

***

# 13
Structure and theoretical PXRD pattern of MgCr2Co (a structure optimized by DFT (GGA-PBE); copper Kα).
Neutral-atom scattering factors, no anomalous dispersion.

Atomic structure:
```
data_MgCr2Co
_chemical_formula_sum 'Mg2 Cr4 Co2'
_symmetry_space_group_name_H-M 'I m m 2'
_symmetry_Int_Tables_number 44
_cell_length_a 2.987
_cell_length_b 4.353
_cell_length_c 8.194
_cell_angle_alpha 90.00
_cell_angle_beta 90.00
_cell_angle_gamma 90.00
loop_
_symmetry_equiv_pos_as_xyz
'x,y,z'
'-x,-y,z'
'-x,y,z'
'x,-y,z'
'x+1/2,y+1/2,z+1/2'
'-x+1/2,-y+1/2,z+1/2'
'-x+1/2,y+1/2,z+1/2'
'x+1/2,-y+1/2,z+1/2'
loop_
_atom_site_label
_atom_site_type_symbol
_atom_site_fract_x
_atom_site_fract_y
_atom_site_fract_z
_atom_site_occupancy
Mg1 Mg 0.000 0.000 0.000 1
Cr1 Cr 0.000 0.000 0.492 1
Cr2 Cr 0.000 0.500 0.222 1
Co1 Co 0.000 0.500 0.758 1
```

Top 10 peaks for 2θ = 5–70°, in order of falling intensity:
2θ 42.84, rel. 100, hkl 1 1 2
2θ 41.49, rel. 28, hkl 0 2 0
2θ 62.20, rel. 21, hkl 2 0 0
2θ 44.21, rel. 21, hkl 0 0 4
2θ 23.14, rel. 13, hkl 0 1 1
2θ 44.97, rel. 5, hkl 1 0 3
2θ 21.69, rel. 5, hkl 0 0 2
2θ 60.35, rel. 4, hkl 0 1 5
2θ 62.83, rel. 3, hkl 1 2 3
2θ 36.48, rel. 3, hkl 1 1 0